(1)
This entry pairs a crystal structure of ReRhN2 with its calculated powder diffraction line list. Radiation: Cu Kα X-rays. Structure: a DFT-relaxed cell (PBE, Alexandria).

Cell and atoms:
a = 4.5735 Å, b = 4.5735 Å, c = 9.5623 Å
α = 90.00°, β = 90.00°, γ = 90.00°
Space group I-42d (No. 122)
Unique sites:
Re: 0.0000 0.0000 0.0000 (multiplicity 4)
Rh: 0.0000 0.0000 0.5000 (multiplicity 4)
N: 0.2166 0.2500 0.1250 (multiplicity 8)

Most intense lines, 2θ from 10° to 90°, sorted by position:
d/Å	Position (°2θ)	intensity
4.126	21.5	11
2.679	33.5	100
2.391	37.6	15
2.287	39.4	27
1.652	55.6	27
1.617	56.9	12
1.430	65.3	14
1.384	67.7	26
1.339	70.3	10
1.143	84.8	4

(2)
This entry pairs a crystal structure of YScPdPt with its calculated powder diffraction line list. Radiation: Cu Kα X-rays. Structure: a DFT-relaxed cell (PBE, Alexandria).

Cell and atoms:
a = 4.5022 Å, b = 3.6317 Å, c = 10.1698 Å
α = 90.00°, β = 90.00°, γ = 90.00°
Space group Amm2 (No. 38)
Unique sites:
Y: 0.0000 0.0000 0.0000 (multiplicity 2)
Sc: 0.5000 0.0000 0.7239 (multiplicity 2)
Pd: 0.0000 0.0000 0.2714 (multiplicity 2)
Pt: 0.5000 0.0000 0.4447 (multiplicity 2)

Most intense lines, 2θ from 10° to 90°, sorted by position:
d/Å	Position (°2θ)	intensity
5.085	17.4	40
3.420	26.1	34
3.371	26.4	22
2.723	32.9	100
2.542	35.3	24
2.251	40.1	36
2.214	40.8	31
2.171	41.6	93
1.816	50.2	18
1.284	73.8	17

(3)
This entry pairs a crystal structure of Li2MnSiSe4 with its calculated powder diffraction line list. Radiation: Cu Kα X-rays. Structure: a DFT-relaxed cell (PBE, Alexandria).

Cell and atoms:
a = 7.4077 Å, b = 7.6038 Å, c = 10.6337 Å
α = 90.00°, β = 90.00°, γ = 90.00°
Space group Imma (No. 74)
Unique sites:
Li: 0.0000 0.0000 0.0000 (multiplicity 4)
Li: 0.2500 0.2500 0.2500 (multiplicity 4)
Mn: 0.0000 0.0000 0.5000 (multiplicity 4)
Si: 0.2500 0.2500 0.7500 (multiplicity 4)
Se: 0.0000 0.0152 0.7448 (multiplicity 8)
Se: 0.2427 0.2500 0.5129 (multiplicity 8)

Most intense lines, 2θ from 10° to 90°, sorted by position:
d/Å	Position (°2θ)	intensity
6.185	14.3	9
6.078	14.6	13
3.093	28.9	29
3.039	29.4	28
2.655	33.8	100
1.901	47.9	12
1.878	48.5	45
1.852	49.2	11
1.546	59.8	11
1.520	61.0	11

(4)
This entry pairs a crystal structure of As with its calculated powder diffraction line list. Radiation: Cu Kα X-rays. Structure: a DFT-relaxed cell (PBE, Alexandria).

Cell and atoms:
a = 4.2413 Å, b = 3.7882 Å, c = 5.8578 Å
α = 90.00°, β = 90.21°, γ = 90.00°
Space group P2_1/m (No. 11)
Unique sites:
As: 0.1971 0.2500 0.0352 (multiplicity 2)
As: 0.1972 0.2500 0.4656 (multiplicity 2)

Most intense lines, 2θ from 10° to 90°, sorted by position:
d/Å	Position (°2θ)	intensity
4.241	20.9	17
2.929	30.5	51
2.825	31.7	100
2.121	42.6	15
2.036	44.5	31
2.031	44.6	32
1.894	48.0	17
1.850	49.2	12
1.590	58.0	16
1.413	66.1	13

(5)
This entry pairs a crystal structure of TlZnS6 with its calculated powder diffraction line list. Radiation: Cu Kα X-rays. Structure: a DFT-relaxed cell (PBE, Alexandria).

Cell and atoms:
a = 4.7635 Å, b = 6.7615 Å, c = 7.4442 Å
α = 95.19°, β = 107.11°, γ = 94.90°
Space group P-1 (No. 2)
Unique sites:
Tl: 0.0000 0.0000 0.0000 (multiplicity 1)
Zn: 0.5000 0.5000 0.0000 (multiplicity 1)
S: 0.2721 0.5989 0.2004 (multiplicity 2)
S: 0.3335 0.9397 0.7051 (multiplicity 2)
S: 0.3503 0.2087 0.6170 (multiplicity 2)

Most intense lines, 2θ from 10° to 90°, sorted by position:
d/Å	Position (°2θ)	intensity
7.062	12.5	100
6.687	13.2	44
3.968	22.4	29
3.653	24.4	27
3.344	26.7	30
3.315	26.9	30
3.203	27.9	48
3.175	28.1	51
2.938	30.4	40
2.849	31.4	54

(6)
This entry pairs a crystal structure of Ta4CrMo3 with its calculated powder diffraction line list. Radiation: Cu Kα X-rays. Structure: a DFT-relaxed cell (PBE, Alexandria).

Cell and atoms:
a = 3.2046 Å, b = 3.2046 Å, c = 12.7827 Å
α = 90.00°, β = 90.00°, γ = 90.00°
Space group P4/mmm (No. 123)
Unique sites:
Ta: 0.0000 0.0000 0.1192 (multiplicity 2)
Ta: 0.0000 0.0000 0.3728 (multiplicity 2)
Cr: 0.5000 0.5000 0.0000 (multiplicity 1)
Mo: 0.5000 0.5000 0.2457 (multiplicity 2)
Mo: 0.5000 0.5000 0.5000 (multiplicity 1)

Most intense lines, 2θ from 10° to 90°, sorted by position:
d/Å	Position (°2θ)	intensity
3.202	27.9	15
2.264	39.8	100
1.848	49.3	5
1.602	57.5	11
1.598	57.7	5
1.433	65.1	4
1.308	72.2	23
1.306	72.4	11
1.133	85.8	4
1.131	85.9	7